Starting from a GGA-PBE-relaxed structure, the powder X-ray diffraction pattern of AcLaH6Rh2 was calculated for a wavelength of 1.5418 Å.
Neutral-atom scattering factors, no anomalous dispersion.

Structural model:
a b c (Å): 6.712 6.712 6.712
angles (deg): 43.13 43.13 43.13
Element x y z (fractional)
Ac 0.000 0.000 0.000
La 0.500 0.500 0.500
H 0.044 0.569 0.569
H 0.431 0.431 0.956
H 0.431 0.956 0.431
H 0.569 0.044 0.569
H 0.569 0.569 0.044
H 0.956 0.431 0.431
Rh 0.217 0.217 0.217
Rh 0.783 0.783 0.783

Main lines, in order of rising 2θ (10° ≤ 2θ ≤ 80°):
22.99 deg, 3.869 Å, intensity 17
28.64 deg, 3.117 Å, intensity 100
32.27 deg, 2.774 Å, intensity 21
36.42 deg, 2.467 Å, intensity 68
45.09 deg, 2.011 Å, intensity 13
46.97 deg, 1.934 Å, intensity 26
47.47 deg, 1.915 Å, intensity 17
54.74 deg, 1.677 Å, intensity 14
60.85 deg, 1.522 Å, intensity 24
65.54 deg, 1.424 Å, intensity 12